1.
This entry pairs a crystal structure of CsAgBr6 with its simulated powder diffraction line list. Radiation: Cu Ka. Structure: a structure optimized by DFT (GGA-PBE).
Kinematic intensities with the Lorentz-polarization factor, no thermal factor.

The 12 most intense peaks (10 to 90 degrees two-theta), low angle first:
- 15.20°, I = 41, (0 1 -1)
- 15.78°, I = 32, (1 -1 0)
- 16.06°, I = 35, (1 0 -1)
- 20.37°, I = 100, (1 -1 1)
- 21.77°, I = 82, (1 0 1)
- 22.21°, I = 45, (0 0 2)
- 24.69°, I = 82, (1 -2 0)
- 28.89°, I = 39, (1 -1 2)
- 31.04°, I = 32, (1 0 2)
- 36.84°, I = 60, (2 1 -1)
- 38.65°, I = 31, (0 2 2)
- 38.95°, I = 50, (-2 1 3)

Structural model:
```
data_CsAgBr6
_cell_length_a 6.4335
_cell_length_b 7.4032
_cell_length_c 8.4711
_cell_angle_alpha 96.47
_cell_angle_beta 104.22
_cell_angle_gamma 111.31
_space_group_name_H-M_alt 'P -1'
_space_group_IT_number 2
_space_group_name_Hall '-P 1'
loop_
_atom_site_label
_atom_site_type_symbol
_atom_site_fract_x
_atom_site_fract_y
_atom_site_fract_z
Cs1 Cs 0.0000 0.0000 0.0000
Ag1 Ag 0.5000 0.5000 0.5000
Br1 Br 0.1222 0.5477 0.9065
Br2 Br 0.1755 0.1101 0.4657
Br3 Br 0.4106 0.7211 0.6988
```

=====

2.
This entry pairs a crystal structure of Er3CdRh4 with its simulated powder diffraction line list. Radiation: Cu Ka. Structure: a structure optimized by DFT (GGA-PBE).
Kinematic intensities with the Lorentz-polarization factor, no thermal factor.

The 12 most intense peaks (10 to 90 degrees two-theta), low angle first:
- 26.65°, I = 8, (1 0 4)
- 34.93°, I = 2, (0 0 9)
- 37.98°, I = 100, (1 1 0)
- 38.10°, I = 96, (0 1 8)
- 47.00°, I = 2, (0 2 4)
- 52.56°, I = 3, (1 1 9)
- 54.89°, I = 33, (2 0 8)
- 68.67°, I = 51, (3 0 0)
- 68.92°, I = 15, (1 0 16)
- 73.34°, I = 2, (0 1 17)
- 81.21°, I = 11, (2 2 0)
- 81.50°, I = 9, (0 2 16)

Structural model:
```
data_Er3CdRh4
_cell_length_a 4.7379
_cell_length_b 4.7379
_cell_length_c 23.1093
_cell_angle_alpha 90.00
_cell_angle_beta 90.00
_cell_angle_gamma 120.00
_space_group_name_H-M_alt 'R -3 m'
_space_group_IT_number 166
_space_group_name_Hall '-R 3 2"'
loop_
_atom_site_label
_atom_site_type_symbol
_atom_site_fract_x
_atom_site_fract_y
_atom_site_fract_z
Er1 Er 0.0000 0.0000 0.0000
Er2 Er 0.0000 0.0000 0.2441
Cd1 Cd 0.0000 0.0000 0.5000
Rh1 Rh 0.0000 0.0000 0.1221
Rh2 Rh 0.0000 0.0000 0.3744
```

=====

3.
This entry pairs a crystal structure of AcLaPS with its simulated powder diffraction line list. Radiation: Cu Ka. Structure: a structure optimized by DFT (GGA-PBE).
Kinematic intensities with the Lorentz-polarization factor, no thermal factor.

The 12 most intense peaks (10 to 90 degrees two-theta), low angle first:
- 12.59°, I = 8, (0 0 3)
- 25.35°, I = 90, (0 1 2)
- 29.36°, I = 100, (1 0 4)
- 42.00°, I = 75, (1 1 0)
- 49.70°, I = 47, (2 0 2)
- 52.07°, I = 27, (0 2 4)
- 60.91°, I = 12, (2 0 8)
- 67.01°, I = 10, (0 2 10)
- 67.09°, I = 10, (1 2 2)
- 69.03°, I = 34, (2 1 4)
- 76.72°, I = 19, (1 2 8)
- 82.37°, I = 11, (3 0 6)

Structural model:
```
data_AcLaPS
_cell_length_a 4.3000
_cell_length_b 4.3000
_cell_length_c 21.0988
_cell_angle_alpha 90.00
_cell_angle_beta 90.00
_cell_angle_gamma 120.00
_space_group_name_H-M_alt 'R 3 m'
_space_group_IT_number 160
_space_group_name_Hall 'R 3 -2"'
loop_
_atom_site_label
_atom_site_type_symbol
_atom_site_fract_x
_atom_site_fract_y
_atom_site_fract_z
Ac1 Ac 0.0000 0.0000 0.0000
La1 La 0.0000 0.0000 0.4958
P1 P 0.0000 0.0000 0.7514
S1 S 0.0000 0.0000 0.2448
```

=====

4.
This entry pairs a crystal structure of BaCd3Bi3 with its simulated powder diffraction line list. Radiation: Cu Ka. Structure: a structure optimized by DFT (GGA-PBE).
Kinematic intensities with the Lorentz-polarization factor, no thermal factor.

The 12 most intense peaks (10 to 90 degrees two-theta), low angle first:
- 21.38°, I = 68, (0 0 6)
- 23.92°, I = 100, (2 -1 3)
- 30.42°, I = 86, (2 -1 6)
- 33.09°, I = 14, (2 1 1)
- 33.69°, I = 21, (1 2 2)
- 37.44°, I = 89, (3 0 0)
- 39.09°, I = 97, (1 1 9)
- 43.53°, I = 22, (3 0 6)
- 48.98°, I = 19, (2 2 6)
- 55.25°, I = 28, (4 -2 9)
- 59.99°, I = 21, (1 1 15)
- 68.65°, I = 20, (1 4 9)

Structural model:
```
data_BaCd3Bi3
_cell_length_a 8.3205
_cell_length_b 8.3205
_cell_length_c 24.9067
_cell_angle_alpha 90.00
_cell_angle_beta 90.00
_cell_angle_gamma 120.00
_space_group_name_H-M_alt 'R -3'
_space_group_IT_number 148
_space_group_name_Hall '-R 3'
loop_
_atom_site_label
_atom_site_type_symbol
_atom_site_fract_x
_atom_site_fract_y
_atom_site_fract_z
Ba1 Ba 0.0000 0.0000 0.1674
Cd1 Cd 0.0059 0.3707 0.3719
Bi1 Bi 0.0025 0.2999 0.5823
```

=====

5.
This entry pairs a crystal structure of Sr4CaSm2Ta2O12 with its simulated powder diffraction line list. Radiation: Cu Ka. Structure: a structure optimized by DFT (GGA-PBE).
Kinematic intensities with the Lorentz-polarization factor, no thermal factor.

The 12 most intense peaks (10 to 90 degrees two-theta), low angle first:
- 18.97°, I = 26, (1 1 0)
- 20.79°, I = 36, (1 -1 0)
- 21.74°, I = 24, (0 0 2)
- 26.82°, I = 23, (1 0 -2)
- 27.41°, I = 37, (1 1 2)
- 28.28°, I = 77, (2 0 0)
- 29.60°, I = 45, (0 2 1)
- 30.25°, I = 100, (1 -1 2)
- 30.52°, I = 62, (1 1 -2)
- 42.28°, I = 25, (2 -2 0)
- 44.32°, I = 26, (0 0 4)
- 46.60°, I = 24, (1 3 -1)

Structural model:
```
data_Sr4CaSm2Ta2O12
_cell_length_a 6.3524
_cell_length_b 6.3631
_cell_length_c 8.2212
_cell_angle_alpha 85.50
_cell_angle_beta 85.49
_cell_angle_gamma 84.51
_space_group_name_H-M_alt 'P 1'
_space_group_IT_number 1
_space_group_name_Hall 'P 1'
loop_
_atom_site_label
_atom_site_type_symbol
_atom_site_fract_x
_atom_site_fract_y
_atom_site_fract_z
Sr1 Sr 0.0000 0.0000 0.0000
Sr2 Sr 0.0437 0.9291 0.4949
Sr3 Sr 0.4745 0.2403 0.9114
Sr4 Sr 0.6484 0.3557 0.4831
Ca1 Ca 0.7492 0.5301 0.0688
Sm1 Sm 0.1869 0.4635 0.2315
Sm2 Sm 0.5256 0.8014 0.7386
Ta1 Ta 0.0653 0.3867 0.7151
Ta2 Ta 0.5783 0.9244 0.2501
O1 O 0.0513 0.3321 0.4794
O2 O 0.0860 0.3883 0.9660
O3 O 0.2489 0.0727 0.7415
O4 O 0.3035 0.0820 0.2275
O5 O 0.3459 0.5219 0.6763
O6 O 0.4661 0.6368 0.2893
O7 O 0.6216 0.8768 0.0037
O8 O 0.6312 0.9576 0.4803
O9 O 0.7272 0.1933 0.1933
O10 O 0.8171 0.2114 0.7569
O11 O 0.8802 0.6495 0.7043
O12 O 0.9107 0.7314 0.2386
```

=====

6.
This entry pairs a crystal structure of MnOsRu2 with its simulated powder diffraction line list. Radiation: Cu Ka. Structure: a structure optimized by DFT (GGA-PBE).
Kinematic intensities with the Lorentz-polarization factor, no thermal factor.

The 12 most intense peaks (10 to 90 degrees two-theta), low angle first:
- 19.53°, I = 21, (1 0 0)
- 25.80°, I = 17, (1 0 -2)
- 30.85°, I = 13, (1 0 2)
- 35.19°, I = 14, (0 2 1)
- 41.44°, I = 100, (1 2 1)
- 41.59°, I = 100, (0 0 4)
- 48.31°, I = 96, (2 0 2)
- 70.73°, I = 40, (1 2 5)
- 70.92°, I = 10, (2 0 -6)
- 85.32°, I = 24, (0 4 4)
- 85.46°, I = 18, (2 0 6)
- 85.61°, I = 30, (1 2 -7)

Structural model:
```
data_MnOsRu2
_cell_length_a 4.6074
_cell_length_b 5.3426
_cell_length_c 8.8221
_cell_angle_alpha 90.00
_cell_angle_beta 99.88
_cell_angle_gamma 90.00
_space_group_name_H-M_alt 'P 1 2/c 1'
_space_group_IT_number 13
_space_group_name_Hall '-P 2yc'
loop_
_atom_site_label
_atom_site_type_symbol
_atom_site_fract_x
_atom_site_fract_y
_atom_site_fract_z
Mn1 Mn 0.1196 0.1199 0.1264
Os1 Os 0.3682 0.1151 0.8750
Ru1 Ru 0.1202 0.3680 0.6220
Ru2 Ru 0.3681 0.3672 0.3719
```

=====

7.
This entry pairs a crystal structure of Rb3Ag2F9 with its simulated powder diffraction line list. Radiation: Cu Ka. Structure: a structure optimized by DFT (GGA-PBE).
Kinematic intensities with the Lorentz-polarization factor, no thermal factor.

The 12 most intense peaks (10 to 90 degrees two-theta), low angle first:
- 11.34°, I = 18, (0 0 1)
- 16.61°, I = 25, (1 0 0)
- 20.15°, I = 25, (1 0 1)
- 28.33°, I = 100, (1 0 2)
- 28.97°, I = 81, (1 1 0)
- 40.97°, I = 72, (0 2 2)
- 50.96°, I = 39, (2 1 2)
- 51.35°, I = 16, (3 0 0)
- 58.61°, I = 16, (2 0 4)
- 60.04°, I = 22, (2 2 0)
- 67.69°, I = 16, (1 3 2)
- 75.24°, I = 14, (4 0 2)

Structural model:
```
data_Rb3Ag2F9
_cell_length_a 6.1635
_cell_length_b 6.1635
_cell_length_c 7.8042
_cell_angle_alpha 90.00
_cell_angle_beta 90.00
_cell_angle_gamma 120.00
_space_group_name_H-M_alt 'P -3 m 1'
_space_group_IT_number 164
_space_group_name_Hall '-P 3 2"'
loop_
_atom_site_label
_atom_site_type_symbol
_atom_site_fract_x
_atom_site_fract_y
_atom_site_fract_z
Rb1 Rb 0.0000 0.0000 0.0000
Rb2 Rb 0.3333 0.6667 0.3716
Ag1 Ag 0.3333 0.6667 0.8472
F1 F 0.0000 0.5000 0.0000
F2 F 0.1746 0.3491 0.6960
```

=====

8.
This entry pairs a crystal structure of Ca2SiPPd6 with its simulated powder diffraction line list. Radiation: Cu Ka. Structure: a structure optimized by DFT (GGA-PBE).
Kinematic intensities with the Lorentz-polarization factor, no thermal factor.

The 12 most intense peaks (10 to 90 degrees two-theta), low angle first:
- 11.58°, I = 34, (0 0 1)
- 19.39°, I = 23, (1 0 1)
- 23.27°, I = 26, (0 0 2)
- 28.09°, I = 27, (1 0 2)
- 31.08°, I = 84, (0 2 2)
- 34.91°, I = 31, (1 2 2)
- 37.60°, I = 100, (2 2 0)
- 39.37°, I = 67, (2 0 2)
- 41.29°, I = 52, (0 4 0)
- 44.69°, I = 39, (2 2 2)
- 52.24°, I = 31, (0 2 4)
- 58.37°, I = 40, (2 4 2)

Structural model:
```
data_Ca2SiPPd6
_cell_length_a 5.7156
_cell_length_b 8.7467
_cell_length_c 7.6439
_cell_angle_alpha 90.00
_cell_angle_beta 90.00
_cell_angle_gamma 90.00
_space_group_name_H-M_alt 'P m m n'
_space_group_IT_number 59
loop_
_space_group_symop_operation_xyz
'x,y,z'
'-x,-y,-z'
'-x+1/2,-y+1/2,z'
'x+1/2,y+1/2,-z'
'x+1/2,-y,-z'
'-x+1/2,y,z'
'-x,y+1/2,-z'
'x,-y+1/2,z'
loop_
_atom_site_label
_atom_site_type_symbol
_atom_site_fract_x
_atom_site_fract_y
_atom_site_fract_z
Ca1 Ca 0.2500 0.0137 0.2292
Si1 Si 0.2500 0.7500 0.7636
P1 P 0.2500 0.2500 0.7471
Pd1 Pd 0.0067 0.7500 0.4976
Pd2 Pd 0.0086 0.7500 0.0200
Pd3 Pd 0.2500 0.0000 0.6343
```